Starting from a structure optimized by DFT (GGA-PBE), the powder X-ray diffraction pattern of Cu11Sb3 was computed for Cu Kα, 1.54184 Å.
Peak positions follow from Bragg's law for the DFT cell and can differ from measured ones.

Atomic structure:
abc: 4.331 9.977 9.977
angles: 152.05 90.00 90.00
Fractional positions:
Cu 0.000 0.000 0.000
Cu 0.000 0.232 0.661
Cu 0.000 0.372 0.520
Cu 0.000 0.520 0.372
Cu 0.000 0.661 0.232
Cu 0.500 0.069 0.215
Cu 0.500 0.215 0.069
Cu 0.500 0.352 0.912
Cu 0.500 0.440 0.738
Cu 0.500 0.738 0.440
Cu 0.500 0.912 0.352
Sb 0.000 0.092 0.803
Sb 0.000 0.803 0.092
Sb 0.500 0.632 0.632

Largest 10 diffraction maxima, sorted by position, 2θ = 10–90°:
| 2theta | d_spacing | I/Imax |
| --- | --- | --- |
| 37.32 | 2.410 | 12 |
| 37.49 | 2.399 | 27 |
| 41.71 | 2.166 | 39 |
| 42.95 | 2.106 | 52 |
| 43.10 | 2.099 | 100 |
| 57.31 | 1.608 | 15 |
| 67.42 | 1.389 | 15 |
| 77.10 | 1.237 | 16 |
| 82.50 | 1.169 | 16 |
| 83.66 | 1.156 | 13 |